Simulated powder diffraction line list of Tl2PtI6 for λ = 1.5418 Å (Cu Kα), from a cell relaxed with GGA-PBE.

Most intense lines, 10° ≤ 2θ ≤ 90°, by angle:
d/Å, 2theta, I_rel, hkl
6.479, 13.67, 37, 1 0 1
4.000, 22.22, 20, 1 1 2
3.239, 27.54, 100, 2 0 2
2.902, 30.81, 40, 0 0 4
2.761, 32.43, 62, 2 2 0
2.272, 39.67, 16, 3 1 2
2.000, 45.34, 47, 2 2 4
1.952, 46.52, 19, 4 0 0
1.672, 54.92, 18, 4 2 2
1.620, 56.84, 20, 4 0 4

Structural model:
Cell lengths 7.8082, 7.8082, 11.6077 Å; angles 90.00, 90.00, 90.00 degrees
Positions (direct):
Tl  0.0000  0.5000  0.2500
Tl  0.0000  0.5000  0.7500
Tl  0.5000  0.0000  0.2500
Tl  0.5000  0.0000  0.7500
Pt  0.0000  0.0000  0.0000
Pt  0.5000  0.5000  0.5000
I  0.0000  0.0000  0.2331
I  0.0000  0.0000  0.7669
I  0.2045  0.2789  0.0000
I  0.2211  0.2955  0.5000
I  0.2789  0.7955  0.0000
I  0.2955  0.7789  0.5000
I  0.5000  0.5000  0.2669
I  0.5000  0.5000  0.7331
I  0.7045  0.2211  0.5000
I  0.7211  0.2045  0.0000
I  0.7789  0.7045  0.5000
I  0.7955  0.7211  0.0000